The following is a calculated powder diffractogram of BaCo2Sn2O7. It was derived from DFT lattice parameters and positions (PBE+U), using Cu Kα (λ = 1.5418 Å).
Neutral-atom scattering factors, no anomalous dispersion.

Atomic structure:
Unit cell a=9.1882 b=9.1882 c=4.2243 alpha=103.27 beta=103.27 gamma=26.54
Fractional coordinates of all 12 atoms:
Ba 0.0000 0.0000 0.0000
Co 0.2538 0.2469 0.7497
Co 0.7531 0.7462 0.2503
Sn 0.3821 0.3826 0.3826
Sn 0.6174 0.6179 0.6174
O 0.1228 0.1217 0.6196
O 0.2675 0.2596 0.2607
O 0.3773 0.3779 0.8780
O 0.5011 0.4989 0.5000
O 0.6221 0.6227 0.1220
O 0.7404 0.7325 0.7393
O 0.8783 0.8772 0.3804

Top 8 peaks for 10° ≤ 2θ ≤ 90°, sorted by position:
2theta, intensity
26.1, 1000
31.7, 572
33.4, 694
41.6, 344
42.8, 680
50.9, 330
55.4, 345
61.2, 409